This entry pairs a crystal structure of Li2PWO6 with its theoretical powder XRD pattern. Radiation: Cu Ka. Structure: a cell relaxed with PBE+U.

Main lines, in order of rising 2θ (10 to 90 degrees two-theta):
13.59°, I = 100
17.54°, I = 48
22.26°, I = 92
26.33°, I = 44
29.66°, I = 20
29.82°, I = 36
32.70°, I = 21
35.56°, I = 17
36.55°, I = 24
38.19°, I = 17

Crystal structure
abc: 13.541 10.113 7.186
angles: 90.00 105.78 90.00
Space group C2/c (No. 15)
Symmetry-distinct sites (fractional):
Li  0.000  0.010  0.250 [4 per cell]
Li  0.000  0.407  0.750 [4 per cell]
Li  0.134  0.203  0.587 [8 per cell]
P  0.115  0.188  0.039 [8 per cell]
W  0.216  0.496  0.629 [8 per cell]
O  0.006  0.147  0.032 [8 per cell]
O  0.100  0.403  0.604 [8 per cell]
O  0.127  0.339  0.004 [8 per cell]
O  0.146  0.115  0.870 [8 per cell]
O  0.187  0.153  0.243 [8 per cell]
O  0.247  0.423  0.388 [8 per cell]

***

This entry pairs a crystal structure of CrP2O8 with its theoretical powder XRD pattern. Radiation: Cu Ka. Structure: a cell relaxed with PBE+U.

Main lines, in order of rising 2θ (10 to 90 degrees two-theta):
13.75°, I = 52
20.22°, I = 22
23.31°, I = 100
27.41°, I = 25
32.50°, I = 12
35.20°, I = 10
35.63°, I = 12
38.33°, I = 9
47.67°, I = 7
55.51°, I = 8

Crystal structure
abc: 9.103 4.946 13.346
angles: 90.00 105.19 90.00
Space group C2/c (No. 15)
Symmetry-distinct sites (fractional):
Cr  0.000  0.000  0.000 [4 per cell]
P  0.133  0.468  0.387 [8 per cell]
O  0.046  0.202  0.390 [8 per cell]
O  0.085  0.425  0.767 [8 per cell]
O  0.091  0.320  0.958 [8 per cell]
O  0.199  0.084  0.596 [8 per cell]

***

This entry pairs a crystal structure of Li5Fe2P2C2O14 with its theoretical powder XRD pattern. Radiation: Cu Ka. Structure: a cell relaxed with PBE+U.

Main lines, in order of rising 2θ (10 to 90 degrees two-theta):
10.55°, I = 82
17.31°, I = 31
19.61°, I = 44
21.38°, I = 63
25.47°, I = 23
26.27°, I = 36
27.57°, I = 100
36.11°, I = 25
40.82°, I = 24
56.91°, I = 20

Crystal structure
abc: 8.425 6.471 10.159
angles: 90.00 95.53 90.00
Space group Pc (No. 7)
Symmetry-distinct sites (fractional):
Li  0.000  0.001  0.000 [2 per cell]
Li  0.162  0.254  0.753 [2 per cell]
Li  0.167  0.250  0.250 [2 per cell]
Li  0.613  0.313  0.000 [2 per cell]
Li  0.798  0.493  0.272 [2 per cell]
Fe  0.233  0.493  0.487 [2 per cell]
Fe  0.573  0.000  0.279 [2 per cell]
P  0.320  0.010  0.014 [2 per cell]
P  0.486  0.494  0.240 [2 per cell]
C  0.865  0.000  0.233 [2 per cell]
C  0.940  0.492  0.040 [2 per cell]
O  0.010  0.001  0.201 [2 per cell]
O  0.063  0.487  0.631 [2 per cell]
O  0.201  0.189  0.976 [2 per cell]
O  0.220  0.180  0.462 [2 per cell]
O  0.324  0.496  0.799 [2 per cell]
O  0.357  0.001  0.668 [2 per cell]
O  0.460  0.485  0.088 [2 per cell]
O  0.478  0.037  0.951 [2 per cell]
O  0.589  0.304  0.290 [2 per cell]
O  0.595  0.318  0.789 [2 per cell]
O  0.744  0.007  0.144 [2 per cell]
O  0.802  0.457  0.076 [2 per cell]
O  0.831  0.009  0.856 [2 per cell]
O  0.970  0.495  0.417 [2 per cell]

***

This entry pairs a crystal structure of Co7O12 with its theoretical powder XRD pattern. Radiation: Cu Ka. Structure: a cell relaxed with PBE+U.

Main lines, in order of rising 2θ (10 to 90 degrees two-theta):
18.83°, I = 100
20.39°, I = 35
21.63°, I = 28
25.35°, I = 28
25.54°, I = 36
38.54°, I = 34
43.09°, I = 60
44.05°, I = 67
47.57°, I = 57
66.84°, I = 30

Crystal structure
abc: 4.822 4.968 9.728
angles: 82.10 75.74 61.27
Space group P1 (No. 1)
Symmetry-distinct sites (fractional):
Co  0.000  0.000  0.000 [1 per cell]
Co  0.002  0.989  0.501 [1 per cell]
Co  0.322  0.341  0.496 [1 per cell]
Co  0.327  0.343  0.997 [1 per cell]
Co  0.663  0.677  0.994 [1 per cell]
Co  0.751  0.443  0.276 [1 per cell]
Co  0.801  0.389  0.730 [1 per cell]
O  0.026  0.365  0.885 [1 per cell]
O  0.084  0.296  0.389 [1 per cell]
O  0.212  0.064  0.615 [1 per cell]
O  0.271  0.008  0.096 [1 per cell]
O  0.368  0.673  0.386 [1 per cell]
O  0.398  0.652  0.884 [1 per cell]
O  0.612  0.361  0.104 [1 per cell]
O  0.624  0.293  0.611 [1 per cell]
O  0.718  0.029  0.895 [1 per cell]
O  0.723  0.075  0.382 [1 per cell]
O  0.946  0.640  0.109 [1 per cell]
O  0.976  0.649  0.603 [1 per cell]